# 1
Diffraction record for PrDy3Sn3. The powder diffractogram is theoretical, not measured: it uses the GGA-PBE geometry in Alexandria and Cu Kα.
Intensities are scaled so that the largest is 100.

Structural model:
a b c (Å): 9.2697 9.2697 5.3914
angles (deg): 90.00 90.00 120.00
Positions (direct):
Pr1 0.3333 0.6667 0.2500
Pr2 0.6667 0.3333 0.7500
Dy1 0.0019 0.2387 0.2500
Dy2 0.2368 0.9981 0.2500
Dy3 0.2387 0.2368 0.7500
Dy4 0.7613 0.7632 0.2500
Dy5 0.7632 0.0019 0.7500
Dy6 0.9981 0.7613 0.7500
Sn1 0.0727 0.4482 0.7500
Sn2 0.3755 0.9273 0.7500
Sn3 0.4482 0.3755 0.2500
Sn4 0.5518 0.6245 0.7500
Sn5 0.6245 0.0727 0.2500
Sn6 0.9273 0.5518 0.2500

Principal peaks in the range 2θ from 10° to 90°, by angle:
two_theta	d_spacing	I_rel
27.71	3.220	7.1
29.44	3.034	21.4
33.23	2.696	26.8
33.90	2.644	100.0
44.98	2.015	13.6
52.22	1.752	12.9
59.81	1.546	20.6
63.31	1.469	14.5

# 2
Diffraction record for Ba8Lu3Pt4O18. The powder diffractogram is theoretical, not measured: it uses the GGA-PBE geometry in Alexandria and Cu Kα.
Intensities are scaled so that the largest is 100.

Structural model:
a b c (Å): 8.3918 8.3918 8.3918
angles (deg): 90.00 90.00 90.00
Positions (direct):
Ba1 0.2380 0.2380 0.2380
Ba2 0.2380 0.2380 0.7620
Ba3 0.2380 0.7620 0.2380
Ba4 0.2380 0.7620 0.7620
Ba5 0.7620 0.2380 0.2380
Ba6 0.7620 0.2380 0.7620
Ba7 0.7620 0.7620 0.2380
Ba8 0.7620 0.7620 0.7620
Lu1 0.0000 0.0000 0.5000
Lu2 0.0000 0.5000 0.0000
Lu3 0.5000 0.0000 0.0000
Pt1 0.0000 0.0000 0.0000
Pt2 0.0000 0.5000 0.5000
Pt3 0.5000 0.0000 0.5000
Pt4 0.5000 0.5000 0.0000
O1 0.0000 0.0000 0.2417
O2 0.0000 0.0000 0.7583
O3 0.0000 0.2417 0.0000
O4 0.0000 0.2586 0.5000
O5 0.0000 0.5000 0.2586
O6 0.0000 0.5000 0.7414
O7 0.0000 0.7414 0.5000
O8 0.0000 0.7583 0.0000
O9 0.2417 0.0000 0.0000
O10 0.2586 0.0000 0.5000
O11 0.2586 0.5000 0.0000
O12 0.5000 0.0000 0.2586
O13 0.5000 0.0000 0.7414
O14 0.5000 0.2586 0.0000
O15 0.5000 0.7414 0.0000
O16 0.7414 0.0000 0.5000
O17 0.7414 0.5000 0.0000
O18 0.7583 0.0000 0.0000

Principal peaks in the range 2θ from 10° to 90°, by angle:
two_theta	d_spacing	I_rel
10.54	8.392	12.4
30.12	2.967	100.0
43.12	2.098	25.4
53.49	1.713	39.1
62.62	1.483	15.7
71.04	1.327	16.5
79.06	1.211	5.1
86.86	1.121	19.3

# 3
Diffraction record for Rh2WAu. The powder diffractogram is theoretical, not measured: it uses the GGA-PBE geometry in Alexandria and Cu Kα.
Intensities are scaled so that the largest is 100.

Structural model:
a b c (Å): 2.7944 2.7944 7.9649
angles (deg): 90.00 90.00 90.00
Positions (direct):
Rh1 0.0000 0.0000 0.0000
Rh2 0.5000 0.5000 0.2467
W1 0.0000 0.0000 0.4753
Au1 0.5000 0.5000 0.7395

Principal peaks in the range 2θ from 10° to 90°, by angle:
two_theta	d_spacing	I_rel
11.11	7.965	14.2
39.39	2.287	100.0
45.56	1.991	15.9
45.93	1.976	32.8
66.69	1.403	20.3
80.02	1.199	11.5
80.56	1.192	25.3
84.76	1.144	10.8

# 4
Diffraction record for Y5Bi2Te. The powder diffractogram is theoretical, not measured: it uses the GGA-PBE geometry in Alexandria and Cu Kα.
Intensities are scaled so that the largest is 100.

Structural model:
a b c (Å): 6.3772 6.3781 6.8614
angles (deg): 107.92 107.83 97.30
Positions (direct):
Y1 0.0000 0.0000 0.0000
Y2 0.0320 0.6452 0.4580
Y3 0.4556 0.4554 0.9927
Y4 0.5462 0.5455 0.5417
Y5 0.6460 0.0312 0.4582
Bi1 0.4711 0.9344 0.9244
Bi2 0.9347 0.4710 0.9241
Te1 0.1655 0.1647 0.4870

Principal peaks in the range 2θ from 10° to 90°, by angle:
two_theta	d_spacing	I_rel
23.66	3.760	30.6
28.44	3.138	100.0
29.40	3.038	88.6
30.39	2.942	85.2
33.76	2.655	66.8
37.57	2.394	37.2
38.57	2.334	80.2
43.61	2.075	39.8